[1]
The following is a calculated X-ray powder pattern of Ca5CdCu2. It was derived from DFT lattice parameters and positions (PBE), using Cu Kα (λ = 1.5418 Å).

Largest 8 diffraction maxima, low angle first, 15 to 90 degrees two-theta:
d_spacing	two_theta	I_rel
4.450	20.0	75
2.868	31.2	100
2.796	32.0	24
2.692	33.3	69
2.501	35.9	74
2.261	39.9	21
1.481	62.8	22
1.429	65.3	22

Structure:
Unit cell a=9.2341 b=9.2341 c=9.2341 alpha=129.29 beta=129.29 gamma=74.55
Atoms (fractional coordinates):
Ca 0.0000 0.0000 0.0000
Ca 0.0285 0.5285 0.8366
Ca 0.1919 0.0285 0.5000
Ca 0.3081 0.8081 0.8366
Ca 0.4715 0.3081 0.5000
Ca 0.5000 0.5000 0.0000
Ca 0.5285 0.6919 0.5000
Ca 0.6919 0.1919 0.1634
Ca 0.8081 0.9715 0.5000
Ca 0.9715 0.4715 0.1634
Cd 0.2500 0.2500 0.0000
Cd 0.7500 0.7500 0.0000
Cu 0.1142 0.3858 0.5000
Cu 0.3858 0.8858 0.2717
Cu 0.6142 0.1142 0.7283
Cu 0.8858 0.6142 0.5000

***

[2]
The following is a calculated X-ray powder pattern of DyTe3. It was derived from DFT lattice parameters and positions (PBE), using Cu Kα (λ = 1.5418 Å).

Largest 8 diffraction maxima, low angle first, 15 to 90 degrees two-theta:
d_spacing	two_theta	I_rel
3.246	27.5	42
3.051	29.3	22
2.896	30.9	100
2.645	33.9	54
2.366	38.0	25
2.173	41.6	55
1.806	50.6	31
1.357	69.2	19

Structure:
Unit cell a=13.1644 b=13.1644 c=4.3457 alpha=90.00 beta=90.00 gamma=161.00
Atoms (fractional coordinates):
Dy 0.1698 0.8302 0.7500
Dy 0.8302 0.1698 0.2500
Te 0.0746 0.9254 0.2500
Te 0.2936 0.7064 0.7500
Te 0.4253 0.5747 0.2500
Te 0.5747 0.4253 0.7500
Te 0.7064 0.2936 0.2500
Te 0.9254 0.0746 0.7500

***

[3]
The following is a calculated X-ray powder pattern of Mg14NbCu. It was derived from DFT lattice parameters and positions (PBE), using Cu Kα (λ = 1.5418 Å).

Largest 8 diffraction maxima, low angle first, 15 to 90 degrees two-theta:
d_spacing	two_theta	I_rel
4.783	18.6	22
2.717	33.0	29
2.482	36.2	37
2.392	37.6	52
2.383	37.7	100
1.832	49.8	17
1.574	58.7	17
1.329	70.9	18

Structure:
Unit cell a=9.9281 b=6.2947 c=6.2947 alpha=59.67 beta=90.00 gamma=90.00
Atoms (fractional coordinates):
Mg 0.0000 0.0000 0.0000
Mg 0.0000 0.0020 0.5007
Mg 0.0000 0.4994 0.4994
Mg 0.0000 0.5007 0.0020
Mg 0.2528 0.6623 0.6623
Mg 0.2611 0.1621 0.1621
Mg 0.2627 0.1717 0.6706
Mg 0.2627 0.6706 0.1717
Mg 0.5000 0.5095 0.9966
Mg 0.5000 0.9966 0.5095
Mg 0.7373 0.1717 0.6706
Mg 0.7373 0.6706 0.1717
Mg 0.7389 0.1621 0.1621
Mg 0.7472 0.6623 0.6623
Nb 0.5000 0.5054 0.5054
Cu 0.5000 0.9979 0.9979

***

[4]
The following is a calculated X-ray powder pattern of WN. It was derived from DFT lattice parameters and positions (PBE), using Cu Kα (λ = 1.5418 Å).

Largest 8 diffraction maxima, low angle first, 15 to 90 degrees two-theta:
d_spacing	two_theta	I_rel
2.908	30.7	45
2.491	36.1	97
1.892	48.1	100
1.438	64.8	21
1.289	73.5	24
1.256	75.7	24
1.245	76.5	11
1.145	84.7	20

Structure:
Unit cell a=2.8760 b=2.8760 c=2.9080 alpha=90.00 beta=90.00 gamma=120.00
Atoms (fractional coordinates):
W 0.0000 0.0000 0.0000
N 0.6667 0.3333 0.5000

***

[5]
The following is a calculated X-ray powder pattern of AcPdO3. It was derived from DFT lattice parameters and positions (PBE), using Cu Kα (λ = 1.5418 Å).

Largest 8 diffraction maxima, low angle first, 15 to 90 degrees two-theta:
d_spacing	two_theta	I_rel
4.092	21.7	10
2.894	30.9	100
2.363	38.1	10
2.046	44.3	27
1.671	55.0	41
1.447	64.4	17
1.294	73.1	18
1.094	89.6	22

Structure:
Unit cell a=4.0924 b=4.0924 c=4.0924 alpha=90.00 beta=90.00 gamma=90.00
Atoms (fractional coordinates):
Ac 0.0000 0.0000 0.0000
Pd 0.5000 0.5000 0.5000
O 0.0000 0.5000 0.5000
O 0.5000 0.0000 0.5000
O 0.5000 0.5000 0.0000

***

[6]
The following is a calculated X-ray powder pattern of TbCr2Si2. It was derived from DFT lattice parameters and positions (PBE), using Cu Kα (λ = 1.5418 Å).

Largest 8 diffraction maxima, low angle first, 15 to 90 degrees two-theta:
d_spacing	two_theta	I_rel
3.630	24.5	50
2.677	33.5	20
2.620	34.2	61
2.431	37.0	100
1.929	47.1	34
1.872	48.6	27
1.553	59.5	25
1.190	80.8	19

Structure:
Unit cell a=6.0089 b=6.0089 c=6.0089 alpha=142.55 beta=142.55 gamma=54.00
Atoms (fractional coordinates):
Tb 0.0000 0.0000 0.0000
Cr 0.2500 0.7500 0.5000
Cr 0.7500 0.2500 0.5000
Si 0.3841 0.3841 0.0000
Si 0.6159 0.6159 0.0000

***

[7]
The following is a calculated X-ray powder pattern of Ba2LuCu3O6. It was derived from DFT lattice parameters and positions (PBE), using Cu Kα (λ = 1.5418 Å).

Largest 8 diffraction maxima, low angle first, 15 to 90 degrees two-theta:
d_spacing	two_theta	I_rel
3.851	23.1	14
2.787	32.1	100
2.723	32.9	60
2.380	37.8	23
2.258	39.9	15
1.926	47.2	31
1.622	56.8	12
1.584	58.2	36

Structure:
Unit cell a=3.8511 b=3.8511 c=12.1112 alpha=90.00 beta=90.00 gamma=90.00
Atoms (fractional coordinates):
Ba 0.0000 0.0000 0.1963
Ba 0.0000 0.0000 0.8037
Lu 0.0000 0.0000 0.5000
Cu 0.5000 0.5000 0.0000
Cu 0.5000 0.5000 0.3694
Cu 0.5000 0.5000 0.6306
O 0.0000 0.5000 0.3849
O 0.0000 0.5000 0.6151
O 0.5000 0.0000 0.3849
O 0.5000 0.0000 0.6151
O 0.5000 0.5000 0.1499
O 0.5000 0.5000 0.8501

***

[8]
The following is a calculated X-ray powder pattern of Nd2Zn3Ge6. It was derived from DFT lattice parameters and positions (PBE), using Cu Kα (λ = 1.5418 Å).

Largest 8 diffraction maxima, low angle first, 15 to 90 degrees two-theta:
d_spacing	two_theta	I_rel
2.713	33.0	53
2.686	33.4	100
2.482	36.2	22
2.418	37.2	49
2.107	42.9	68
1.989	45.6	28
1.664	55.2	21
1.446	64.4	25

Structure:
Unit cell a=12.7649 b=12.7649 c=5.9563 alpha=90.00 beta=90.00 gamma=153.00
Atoms (fractional coordinates):
Nd 0.1065 0.8935 0.7500
Nd 0.3934 0.6066 0.7500
Nd 0.6066 0.3934 0.2500
Nd 0.8935 0.1065 0.2500
Zn 0.1606 0.8394 0.2500
Zn 0.2633 0.2633 0.0000
Zn 0.2633 0.2633 0.5000
Zn 0.7367 0.7367 0.0000
Zn 0.7367 0.7367 0.5000
Zn 0.8394 0.1606 0.7500
Ge 0.0590 0.9410 0.2500
Ge 0.0833 0.4855 0.0347
Ge 0.0833 0.4855 0.4653
Ge 0.4303 0.5697 0.2500
Ge 0.4855 0.0833 0.5347
Ge 0.4855 0.0833 0.9653
Ge 0.5145 0.9167 0.0347
Ge 0.5145 0.9167 0.4653
Ge 0.5697 0.4303 0.7500
Ge 0.9167 0.5145 0.5347
Ge 0.9167 0.5145 0.9653
Ge 0.9410 0.0590 0.7500

***

[9]
The following is a calculated X-ray powder pattern of TiGaCu2. It was derived from DFT lattice parameters and positions (PBE), using Cu Kα (λ = 1.5418 Å).

Largest 7 diffraction maxima, low angle first, 15 to 90 degrees two-theta:
d_spacing	two_theta	I_rel
3.474	25.6	2
3.009	29.7	1
2.128	42.5	100
1.814	50.3	1
1.504	61.6	15
1.381	67.9	1
1.228	77.7	30

Structure:
Unit cell a=4.2553 b=4.2553 c=4.2553 alpha=60.00 beta=60.00 gamma=60.00
Atoms (fractional coordinates):
Ti 0.0000 0.0000 0.0000
Ga 0.5000 0.5000 0.5000
Cu 0.2500 0.2500 0.2500
Cu 0.7500 0.7500 0.7500

***

[10]
The following is a calculated X-ray powder pattern of Rb2Ba8MgSb6O2. It was derived from DFT lattice parameters and positions (PBE), using Cu Kα (λ = 1.5418 Å).

Largest 8 diffraction maxima, low angle first, 15 to 90 degrees two-theta:
d_spacing	two_theta	I_rel
3.517	25.3	46
3.443	25.9	64
3.399	26.2	63
3.325	26.8	100
3.290	27.1	51
3.201	27.9	56
3.074	29.0	83
2.934	30.5	64

Structure:
Unit cell a=9.4548 b=9.5983 c=10.1647 alpha=112.61 beta=116.20 gamma=93.58
Atoms (fractional coordinates):
Rb 0.0000 0.0000 0.0000
Rb 0.4320 0.3899 0.8889
Ba 0.1806 0.9508 0.6632
Ba 0.2880 0.7777 0.2804
Ba 0.4892 0.3048 0.2843
Ba 0.4947 0.6791 0.6909
Ba 0.6978 0.1979 0.6926
Ba 0.8638 0.0974 0.3625
Ba 0.9804 0.5454 0.7415
Ba 0.9992 0.4709 0.2732
Mg 0.6517 0.7297 0.1809
Sb 0.1274 0.3460 0.9783
Sb 0.2637 0.2294 0.4668
Sb 0.4052 0.8769 0.0196
Sb 0.6063 0.0899 0.9850
Sb 0.7363 0.7613 0.4957
Sb 0.8366 0.6561 0.0261
O 0.2396 0.7205 0.4849
O 0.7603 0.2961 0.5178

***

[11]
The following is a calculated X-ray powder pattern of ScRhO3. It was derived from DFT lattice parameters and positions (PBE), using Cu Kα (λ = 1.5418 Å).

Largest 8 diffraction maxima, low angle first, 15 to 90 degrees two-theta:
d_spacing	two_theta	I_rel
3.801	23.4	31
3.770	23.6	61
2.758	32.5	50
2.675	33.5	100
2.666	33.6	98
2.604	34.4	45
1.686	54.4	30
1.519	61.0	26

Structure:
Unit cell a=7.5604 b=7.5317 c=10.4171 alpha=90.00 beta=133.14 gamma=90.00
Atoms (fractional coordinates):
Sc 0.0646 0.2328 0.2895
Sc 0.0646 0.2672 0.7895
Sc 0.4314 0.7405 0.7253
Sc 0.4314 0.7595 0.2253
Sc 0.5686 0.2405 0.7747
Sc 0.5686 0.2595 0.2747
Sc 0.9354 0.7328 0.2105
Sc 0.9354 0.7672 0.7105
Rh 0.0000 0.0000 0.0000
Rh 0.0000 0.0000 0.5000
Rh 0.0000 0.5000 0.0000
Rh 0.0000 0.5000 0.5000
Rh 0.5000 0.0000 0.0000
Rh 0.5000 0.0000 0.5000
Rh 0.5000 0.5000 0.0000
Rh 0.5000 0.5000 0.5000
O 0.0748 0.7483 0.9641
O 0.0748 0.7517 0.4641
O 0.1454 0.5461 0.7534
O 0.1454 0.9539 0.2534
O 0.2140 0.5997 0.2537
O 0.2140 0.9003 0.7537
O 0.2928 0.1024 0.5461
O 0.2928 0.3976 0.0461
O 0.3497 0.0365 0.1096
O 0.3497 0.4635 0.6096
O 0.4239 0.2499 0.3881
O 0.4239 0.2501 0.8881
O 0.5761 0.7499 0.1119
O 0.5761 0.7501 0.6119
O 0.6503 0.5365 0.3904
O 0.6503 0.9635 0.8904
O 0.7072 0.6024 0.9539
O 0.7072 0.8976 0.4539
O 0.7860 0.0997 0.2463
O 0.7860 0.4003 0.7463
O 0.8546 0.0461 0.7466
O 0.8546 0.4539 0.2466
O 0.9252 0.2483 0.5359
O 0.9252 0.2517 0.0359

***

[12]
The following is a calculated X-ray powder pattern of Mg3Ga3N5. It was derived from DFT lattice parameters and positions (PBE), using Cu Kα (λ = 1.5418 Å).

Largest 8 diffraction maxima, low angle first, 15 to 90 degrees two-theta:
d_spacing	two_theta	I_rel
5.404	16.4	42
4.147	21.4	100
3.482	25.6	80
2.976	30.0	41
2.681	33.4	54
2.661	33.7	60
2.591	34.6	64
2.573	34.9	79

Structure:
Unit cell a=5.6736 b=6.7343 c=8.2664 alpha=108.53 beta=104.51 gamma=94.84
Atoms (fractional coordinates):
Mg 0.0878 0.0150 0.2469
Mg 0.2209 0.3852 0.9490
Mg 0.3544 0.9223 0.6112
Mg 0.6456 0.0777 0.3888
Mg 0.7791 0.6148 0.0510
Mg 0.9122 0.9850 0.7531
Ga 0.1930 0.4223 0.5781
Ga 0.3581 0.6452 0.2971
Ga 0.3696 0.8118 0.9685
Ga 0.6304 0.1882 0.0315
Ga 0.6419 0.3548 0.7029
Ga 0.8070 0.5777 0.4219
N 0.1565 0.6160 0.4432
N 0.1667 0.7291 0.1044
N 0.2889 0.0282 0.8607
N 0.3353 0.1638 0.4945
N 0.4305 0.5383 0.8213
N 0.5695 0.4617 0.1787
N 0.6647 0.8362 0.5055
N 0.7111 0.9718 0.1393
N 0.8333 0.2709 0.8956
N 0.8435 0.3840 0.5568

***

[13]
The following is a calculated X-ray powder pattern of HfScIr2. It was derived from DFT lattice parameters and positions (PBE), using Cu Kα (λ = 1.5418 Å).

Largest 8 diffraction maxima, low angle first, 15 to 90 degrees two-theta:
d_spacing	two_theta	I_rel
3.765	23.6	11
3.260	27.4	9
2.305	39.1	100
1.966	46.2	6
1.630	56.4	17
1.458	63.8	4
1.331	70.8	35
1.153	84.0	11

Structure:
Unit cell a=4.6106 b=4.6106 c=4.6106 alpha=60.00 beta=60.00 gamma=60.00
Atoms (fractional coordinates):
Hf 0.0000 0.0000 0.0000
Sc 0.5000 0.5000 0.5000
Ir 0.2500 0.2500 0.2500
Ir 0.7500 0.7500 0.7500